[1]
Structure and simulated X-ray diffraction stick pattern of Al3InGa3 (a GGA-PBE-relaxed structure; λ = 1.5418 Å (Cu Kα)).
Intensities are scaled so that the largest is 100.

Principal peaks in the range 10 to 80 degrees two-theta, sorted by position:
hkl 2 0 0, 2θ 24.75, I 43; hkl 2 1 0, 2θ 27.73, I 23; hkl 2 1 1, 2θ 30.43, I 100; hkl 2 2 2, 2θ 43.58, I 9; hkl 3 2 1, 2θ 47.27, I 58; hkl 4 0 0, 2θ 50.76, I 21; hkl 4 2 0, 2θ 57.27, I 16; hkl 3 3 2, 2θ 60.35, I 14; hkl 5 2 1, 2θ 71.88, I 16; hkl 4 4 0, 2θ 74.63, I 13

Atomic structure:
a = 7.1943 Å, b = 7.1943 Å, c = 7.1943 Å
α = 90.00°, β = 90.00°, γ = 90.00°
Space group Pm-3n (No. 223)
Symmetry-distinct sites (fractional):
Al 0.0000 0.2500 0.5000 x6
In 0.0000 0.0000 0.0000 x2
Ga 0.0000 0.5000 0.2500 x6

[2]
Structure and simulated X-ray diffraction stick pattern of LaY15Sc4 (a GGA-PBE-relaxed structure; λ = 1.5418 Å (Cu Kα)).
Intensities are scaled so that the largest is 100.

Principal peaks in the range 10 to 80 degrees two-theta, sorted by position:
hkl 1 0 0, 2θ 17.81, I 2; hkl 1 1 0, 2θ 25.29, I 2; hkl 1 1 4, 2θ 29.14, I 2; hkl 1 1 5, 2θ 31.11, I 100; hkl 2 0 0, 2θ 36.07, I 50; hkl 2 2 0, 2θ 51.94, I 33; hkl 1 1 15, 2θ 61.75, I 12; hkl 3 1 5, 2θ 61.80, I 26; hkl 2 2 10, 2θ 64.86, I 11; hkl 4 0 0, 2θ 76.52, I 5

Atomic structure:
a = 4.9781 Å, b = 4.9781 Å, c = 24.9168 Å
α = 90.00°, β = 90.00°, γ = 90.00°
Space group P4/mmm (No. 123)
Symmetry-distinct sites (fractional):
La 0.0000 0.0000 0.0000 x1
Y 0.0000 0.5000 0.1063 x4
Y 0.0000 0.5000 0.3033 x4
Y 0.0000 0.5000 0.5000 x2
Y 0.5000 0.5000 0.0000 x1
Y 0.5000 0.5000 0.2058 x2
Y 0.5000 0.5000 0.4017 x2
Sc 0.0000 0.0000 0.2043 x2
Sc 0.0000 0.0000 0.4017 x2

[3]
Structure and simulated X-ray diffraction stick pattern of Ac3Pm2Er2 (a GGA-PBE-relaxed structure; λ = 1.5418 Å (Cu Kα)).
Intensities are scaled so that the largest is 100.

Principal peaks in the range 10 to 80 degrees two-theta, sorted by position:
hkl 1 1 1, 2θ 28.94, I 90; hkl 1 7 0, 2θ 29.53, I 100; hkl 2 0 0, 2θ 31.79, I 45; hkl 0 6 1, 2θ 32.15, I 50; hkl 2 6 1, 2θ 45.84, I 38; hkl 2 8 1, 2θ 49.94, I 17; hkl 3 1 1, 2θ 54.89, I 19; hkl 3 7 0, 2θ 55.25, I 18; hkl 1 13 1, 2θ 56.05, I 24; hkl 1 7 2, 2θ 58.11, I 30

Atomic structure:
a = 5.6291 Å, b = 25.1098 Å, c = 3.7294 Å
α = 90.00°, β = 90.00°, γ = 90.00°
Space group Cmmm (No. 65)
Symmetry-distinct sites (fractional):
Ac 0.0000 0.0000 0.0000 x2
Ac 0.0000 0.1544 0.0000 x4
Pm 0.0000 0.4265 0.5000 x4
Er 0.0000 0.2851 0.5000 x4

[4]
Structure and simulated X-ray diffraction stick pattern of Er6Zn5Pb (a GGA-PBE-relaxed structure; λ = 1.5418 Å (Cu Kα)).
Intensities are scaled so that the largest is 100.

Principal peaks in the range 10 to 80 degrees two-theta, sorted by position:
hkl 1 1 2, 2θ 24.48, I 3; hkl 1 0 3, 2θ 24.82, I 11; hkl 0 0 6, 2θ 35.28, I 20; hkl 2 0 0, 2θ 35.41, I 100; hkl 2 0 6, 2θ 50.91, I 21; hkl 1 2 9, 2θ 63.40, I 14; hkl 0 4 6, 2θ 63.50, I 7; hkl 3 2 3, 2θ 63.62, I 21; hkl 2 4 6, 2θ 74.89, I 9; hkl 4 0 0, 2θ 75.03, I 2

Atomic structure:
a = 5.0636 Å, b = 7.1681 Å, c = 15.2621 Å
α = 90.00°, β = 90.00°, γ = 90.00°
Space group Immm (No. 71)
Symmetry-distinct sites (fractional):
Er 0.0000 0.2357 0.0000 x4
Er 0.0000 0.2571 0.3280 x8
Zn 0.0000 0.0000 0.1681 x4
Zn 0.0000 0.5000 0.1699 x4
Zn 0.0000 0.5000 0.5000 x2
Pb 0.0000 0.0000 0.5000 x2

[5]
Structure and simulated X-ray diffraction stick pattern of B7C5 (a GGA-PBE-relaxed structure; λ = 1.5418 Å (Cu Kα)).
Intensities are scaled so that the largest is 100.

Principal peaks in the range 10 to 80 degrees two-theta, sorted by position:
hkl 0 1 -1, 2θ 23.80, I 25; hkl 1 -1 0, 2θ 27.47, I 44; hkl 1 0 -1, 2θ 28.21, I 29; hkl 0 1 1, 2θ 30.76, I 24; hkl -1 1 1, 2θ 33.17, I 22; hkl 1 1 0, 2θ 38.52, I 91; hkl 1 0 -2, 2θ 39.59, I 100; hkl 1 -2 0, 2θ 42.84, I 60; hkl 1 -1 2, 2θ 43.68, I 81; hkl 2 0 2, 2θ 69.43, I 26

Atomic structure:
a = 3.7249 Å, b = 4.4941 Å, c = 5.3897 Å
α = 102.32°, β = 95.32°, γ = 107.06°
Space group P1 (No. 1)
Symmetry-distinct sites (fractional):
B 0.0000 0.0000 0.0000 x1
B 0.0146 0.5969 0.8313 x1
B 0.0662 0.0482 0.3530 x1
B 0.2477 0.7693 0.1345 x1
B 0.3876 0.3970 0.0112 x1
B 0.6118 0.9880 0.7617 x1
B 0.6659 0.0909 0.1647 x1
C 0.0097 0.7119 0.3941 x1
C 0.2670 0.6690 0.6066 x1
C 0.3910 0.3733 0.5086 x1
C 0.5991 0.3294 0.7520 x1
C 0.6477 0.4317 0.2974 x1

[6]
Structure and simulated X-ray diffraction stick pattern of Rb4ZrPa3O12 (a GGA-PBE-relaxed structure; λ = 1.5418 Å (Cu Kα)).
Intensities are scaled so that the largest is 100.

Principal peaks in the range 10 to 80 degrees two-theta, sorted by position:
hkl 1 1 0, 2θ 14.32, I 7; hkl 2 0 0, 2θ 20.30, I 26; hkl 2 2 0, 2θ 28.86, I 100; hkl 4 0 0, 2θ 41.27, I 30; hkl 4 2 0, 2θ 46.41, I 12; hkl 4 2 2, 2θ 51.14, I 42; hkl 4 4 0, 2θ 59.79, I 19; hkl 6 0 0, 2θ 63.83, I 6; hkl 6 2 0, 2θ 67.73, I 19; hkl 4 4 4, 2θ 75.24, I 6

Atomic structure:
a = 8.7495 Å, b = 8.7495 Å, c = 8.7495 Å
α = 90.00°, β = 90.00°, γ = 90.00°
Space group Im-3m (No. 229)
Symmetry-distinct sites (fractional):
Rb 0.2500 0.2500 0.2500 x8
Zr 0.0000 0.0000 0.0000 x2
Pa 0.0000 0.0000 0.5000 x6
O 0.0000 0.0000 0.2484 x12
O 0.0000 0.2500 0.5000 x12

[7]
Structure and simulated X-ray diffraction stick pattern of Li2CaRh2C (a GGA-PBE-relaxed structure; λ = 1.5418 Å (Cu Kα)).
Intensities are scaled so that the largest is 100.

Principal peaks in the range 10 to 80 degrees two-theta, sorted by position:
hkl 0 0 1, 2θ 16.01, I 96; hkl 1 1 0, 2θ 30.96, I 26; hkl 0 0 2, 2θ 32.35, I 34; hkl 1 1 1, 2θ 35.04, I 100; hkl 2 0 0, 2θ 44.35, I 32; hkl 1 1 2, 2θ 45.39, I 24; hkl 2 0 1, 2θ 47.45, I 23; hkl 2 0 2, 2θ 55.95, I 27; hkl 1 1 3, 2θ 59.45, I 21; hkl 3 1 1, 2θ 75.59, I 20

Atomic structure:
a = 4.0848 Å, b = 4.0848 Å, c = 5.5349 Å
α = 90.00°, β = 90.00°, γ = 90.00°
Space group P4/mmm (No. 123)
Symmetry-distinct sites (fractional):
Li 0.0000 0.0000 0.2380 x2
Ca 0.5000 0.5000 0.0000 x1
Rh 0.0000 0.5000 0.5000 x2
C 0.5000 0.5000 0.5000 x1

[8]
Structure and simulated X-ray diffraction stick pattern of Al2TlAgTe4 (a GGA-PBE-relaxed structure; λ = 1.5418 Å (Cu Kα)).
Intensities are scaled so that the largest is 100.

Principal peaks in the range 10 to 80 degrees two-theta, sorted by position:
hkl 1 1 0, 2θ 20.38, I 14; hkl 1 1 2, 2θ 23.68, I 100; hkl 2 0 2, 2θ 31.44, I 20; hkl 1 1 4, 2θ 31.68, I 16; hkl 2 0 4, 2θ 37.96, I 50; hkl 2 2 0, 2θ 41.45, I 22; hkl 1 1 6, 2θ 42.01, I 16; hkl 3 1 2, 2θ 48.29, I 27; hkl 3 1 6, 2θ 60.49, I 9; hkl 4 2 4, 2θ 73.29, I 12

Atomic structure:
a = 6.1621 Å, b = 6.1621 Å, c = 14.8386 Å
α = 90.00°, β = 90.00°, γ = 90.00°
Space group I-42m (No. 121)
Symmetry-distinct sites (fractional):
Al 0.0000 0.5000 0.2500 x4
Tl 0.0000 0.0000 0.0000 x2
Ag 0.0000 0.0000 0.5000 x2
Te 0.2266 0.2266 0.3544 x8

[9]
Structure and simulated X-ray diffraction stick pattern of Tb2YHoTe6 (a GGA-PBE-relaxed structure; λ = 1.5418 Å (Cu Kα)).
Intensities are scaled so that the largest is 100.

Principal peaks in the range 10 to 80 degrees two-theta, sorted by position:
hkl 0 1 2, 2θ 15.72, I 33; hkl 1 0 4, 2θ 21.47, I 24; hkl 2 -1 3, 2θ 26.38, I 100; hkl 0 2 4, 2θ 31.74, I 18; hkl 2 -1 6, 2θ 34.53, I 97; hkl 3 0 0, 2θ 40.56, I 63; hkl 1 1 9, 2θ 45.28, I 23; hkl 2 2 6, 2θ 54.31, I 26; hkl 3 0 12, 2θ 67.96, I 21; hkl 5 -1 6, 2θ 69.93, I 23

Atomic structure:
a = 7.7040 Å, b = 7.7040 Å, c = 21.1008 Å
α = 90.00°, β = 90.00°, γ = 120.00°
Space group R3 (No. 146, hexagonal axes)
Symmetry-distinct sites (fractional):
Tb 0.0000 0.0000 0.0000 x3
Tb 0.0000 0.0000 0.4997 x3
Y 0.0000 0.0000 0.1860 x3
Ho 0.0000 0.0000 0.6856 x3
Te 0.0210 0.3506 0.7600 x9
Te 0.0216 0.6687 0.2602 x9

[10]
Structure and simulated X-ray diffraction stick pattern of Rb3TbBi2Te6 (a GGA-PBE-relaxed structure; λ = 1.5418 Å (Cu Kα)).
Intensities are scaled so that the largest is 100.

Principal peaks in the range 10 to 80 degrees two-theta, sorted by position:
hkl 0 0 1, 2θ 10.33, I 33; hkl 1 3 1, 2θ 26.29, I 100; hkl 1 3 2, 2θ 33.16, I 15; hkl 2 0 2, 2θ 35.89, I 35; hkl 0 6 0, 2θ 39.09, I 38; hkl 4 0 0, 2θ 47.73, I 20; hkl 4 0 -4, 2θ 54.11, I 11; hkl 3 3 -5, 2θ 58.88, I 11; hkl 4 6 0, 2θ 63.33, I 17; hkl 4 6 -4, 2θ 68.75, I 10

Atomic structure:
a = 7.9821 Å, b = 13.8249 Å, c = 8.9678 Å
α = 90.00°, β = 107.25°, γ = 90.00°
Space group C2/m (No. 12)
Symmetry-distinct sites (fractional):
Rb 0.0000 0.0000 0.0000 x2
Rb 0.0000 0.3311 0.0000 x4
Tb 0.0000 0.5000 0.5000 x2
Bi 0.0000 0.1664 0.5000 x4
Te 0.2314 0.3353 0.7006 x8
Te 0.2379 0.0000 0.7014 x4

[11]
Structure and simulated X-ray diffraction stick pattern of KTlSb (a GGA-PBE-relaxed structure; λ = 1.5418 Å (Cu Kα)).
Intensities are scaled so that the largest is 100.

Principal peaks in the range 10 to 80 degrees two-theta, sorted by position:
hkl 2 0 0, 2θ 16.74, I 72; hkl 0 0 2, 2θ 21.54, I 43; hkl 2 3 1, 2θ 27.40, I 89; hkl 2 2 2, 2θ 30.17, I 88; hkl 0 1 3, 2θ 33.17, I 59; hkl 4 0 0, 2θ 33.85, I 44; hkl 2 4 2, 2θ 37.37, I 100; hkl 0 6 0, 2θ 37.76, I 31; hkl 4 1 3, 2θ 48.12, I 41; hkl 2 1 5, 2θ 58.97, I 39

Atomic structure:
a = 10.5910 Å, b = 14.3045 Å, c = 8.2456 Å
α = 90.00°, β = 90.00°, γ = 90.00°
Space group Ima2 (No. 46)
Symmetry-distinct sites (fractional):
K 0.2500 0.9999 0.0000 x4
K 0.2500 0.2132 0.3590 x4
K 0.2500 0.7138 0.8584 x4
Tl 0.0000 0.0000 0.3197 x4
Tl 0.0003 0.1263 0.6983 x8
Sb 0.0001 0.1668 0.0721 x8
Sb 0.2500 0.9997 0.5730 x4

[12]
Structure and simulated X-ray diffraction stick pattern of Rb3PmY2O6 (a GGA-PBE-relaxed structure; λ = 1.5418 Å (Cu Kα)).
Intensities are scaled so that the largest is 100.

Principal peaks in the range 10 to 80 degrees two-theta, sorted by position:
hkl 0 0 2, 2θ 27.11, I 38; hkl 2 0 0, 2θ 30.38, I 74; hkl 1 3 1, 2θ 34.31, I 100; hkl 2 0 2, 2θ 47.19, I 34; hkl 0 6 0, 2θ 51.35, I 31; hkl 1 3 3, 2θ 55.27, I 19; hkl 3 3 1, 2θ 59.02, I 26; hkl 2 6 0, 2θ 60.84, I 11; hkl 4 0 0, 2θ 63.22, I 16; hkl 3 3 3, 2θ 79.33, I 12

Atomic structure:
a = 6.1638 Å, b = 10.6771 Å, c = 6.8913 Å
α = 90.00°, β = 107.34°, γ = 90.00°
Space group C2/m (No. 12)
Symmetry-distinct sites (fractional):
Rb 0.0000 0.0000 0.0000 x2
Rb 0.0000 0.3328 0.0000 x4
Pm 0.0000 0.5000 0.5000 x2
Y 0.0000 0.1667 0.5000 x4
O 0.2185 0.0000 0.6771 x4
O 0.2293 0.3297 0.6772 x8